The following is a theoretical PXRD pattern of Cs3Li2ErCl8. It was derived from a GGA-PBE-relaxed structure, using CuKα.

Top 8 peaks for 2θ from 10° to 90°, sorted by position:
| index | Position (°2θ) | intensity |
| --- | --- | --- |
| 1 0 0 | 13.72 | 29.6 |
| 0 1 1 | 16.46 | 26.9 |
| 0 1 2 | 22.84 | 79.8 |
| 1 1 0 | 23.88 | 100.0 |
| 0 2 1 | 29.14 | 46.3 |
| 2 0 2 | 33.28 | 72.7 |
| 1 2 2 | 41.37 | 35.0 |
| 2 2 0 | 48.88 | 30.7 |

Atomic structure:
```
14
Lattice="7.4536 0.0000 0.0000 -3.7268 6.4550 0.0000 0.0000 0.0000 9.7657" Properties=species:S:1:pos:R:3 pbc="T T T"
Cs 0.0000 0.0000 0.0000
Cs 0.0000 4.3034 6.5000
Cs 3.7268 2.1517 3.2657
Li 0.0000 4.3034 2.2057
Li 3.7268 2.1517 7.5600
Er 0.0000 0.0000 4.8828
Cl 0.0000 2.1187 3.3419
Cl -1.8919 5.3957 3.3419
Cl 1.8349 1.0594 6.4238
Cl 0.0000 4.3034 9.7565
Cl 3.7268 2.1517 0.0092
Cl 1.8919 5.3957 3.3419
Cl 5.6188 1.0594 6.4238
Cl 3.7268 4.3363 6.4238
```